Calculated X-ray diffraction stick pattern
Compound: Yb2PbS4
Radiation: a wavelength of 1.5418 Å
Structure: a cell relaxed with GGA-PBE

Top 10 peaks for 15° ≤ 2θ ≤ 90°, by intensity:
(hkl)  2θ (°)  d_spacing  I/Imax
2 1 0  25.91  3.439  100.0
2 1 3  32.29  2.772  82.2
3 0 2  25.49  3.494  65.0
2 1 1  26.72  3.336  64.6
0 0 4  25.28  3.523  55.5
5 1 1  43.79  2.067  49.5
2 1 4  36.54  2.459  41.9
4 0 0  29.57  3.020  38.9
0 2 0  43.35  2.088  35.5
5 1 3  47.62  1.910  32.7

Atomic structure:
```
Yb2PbS4
1.0
12.072 0.000 0.000
0.000 4.175 0.000
0.000 0.000 14.092
Yb Pb S
8 4 16
direct
0.046 0.250 0.114
0.159 0.250 0.616
0.341 0.750 0.116
0.454 0.750 0.614
0.546 0.250 0.386
0.659 0.250 0.884
0.841 0.750 0.384
0.954 0.750 0.886
0.237 0.250 0.858
0.263 0.750 0.358
0.737 0.250 0.642
0.763 0.750 0.142
0.010 0.250 0.468
0.033 0.250 0.780
0.146 0.750 0.999
0.241 0.250 0.209
0.259 0.750 0.709
0.354 0.250 0.499
0.467 0.750 0.280
0.490 0.750 0.968
0.510 0.250 0.032
0.533 0.250 0.720
0.646 0.750 0.501
0.741 0.250 0.291
0.759 0.750 0.791
0.854 0.250 0.001
0.967 0.750 0.220
0.990 0.750 0.532
```